# Ga2Se3
Computed powder XRD pattern, Cu Ka. Input: a PBE-relaxed structure.
Intensities are scaled so that the largest is 100.

The 10 most intense peaks (15° ≤ 2θ ≤ 90°), low angle first:
hkl	2theta	Rel. int.
0 1 1	17.06	19
0 3 1	27.36	86
1 0 1	27.56	100
1 3 2	45.28	87
0 6 0	46.02	21
2 0 0	46.53	20
0 3 3	52.83	18
1 6 1	54.48	28
2 3 1	54.82	24
3 3 2	85.43	14

Atomic structure:
Cell: 3.904 11.833 5.787 Å, 90.00 90.00 90.00°
Space group Imm2 (No. 44)
One atom of each set of equivalent atoms:
1 Ga 0.000 0.161 0.000
2 Se 0.000 0.000 0.242
3 Se 0.000 0.337 0.232